Record 1
This entry pairs a crystal structure of CsPu2In2Br7 with its calculated X-ray diffraction stick pattern. Radiation: a wavelength of 1.5418 Å. Structure: a structure optimized by DFT (GGA-PBE).
Lines closer than 0.1° are merged.

Top 8 peaks for 2θ = 5–70°, in order of rising 2θ:
Position (°2θ)	d/Å	I (rel.)
5.62	15.729	37
15.56	5.695	82
16.91	5.243	46
17.49	5.069	37
30.88	2.896	100
36.00	2.495	42
44.24	2.047	37
46.74	1.943	35

Crystal structure
a b c (Å): 31.986 5.792 5.791
angles (deg): 90.00 100.43 90.00
Space group Cm (No. 8)
Asymmetric unit:
Cs (0.000, 0.000, 0.000) [2 per cell]
Pu (0.095, 0.500, 0.596) [2 per cell]
Pu (0.405, 0.000, 0.405) [2 per cell]
In (0.250, 0.000, 0.763) [2 per cell]
In (0.250, 0.500, 0.265) [2 per cell]
Br (0.000, 0.500, 0.501) [2 per cell]
Br (0.087, 0.000, 0.586) [2 per cell]
Br (0.087, 0.500, 0.087) [2 per cell]
Br (0.188, 0.500, 0.694) [2 per cell]
Br (0.312, 0.000, 0.317) [2 per cell]
Br (0.413, 0.000, 0.913) [2 per cell]
Br (0.413, 0.500, 0.412) [2 per cell]



Record 2
This entry pairs a crystal structure of Cs2ScInBr6 with its calculated X-ray diffraction stick pattern. Radiation: a wavelength of 1.5418 Å. Structure: a structure optimized by DFT (GGA-PBE).
Lines closer than 0.1° are merged.

Top 8 peaks for 2θ = 5–70°, in order of rising 2θ:
Position (°2θ)	d/Å	I (rel.)
21.26	4.179	25
21.91	4.056	29
25.30	3.520	26
26.25	3.395	56
27.32	3.264	23
30.72	2.910	100
43.30	2.090	24
44.69	2.028	34

Crystal structure
a b c (Å): 8.3580 8.3580 19.5870
angles (deg): 90.00 90.00 120.00
Space group R-3 (No. 148, hexagonal axes)
Asymmetric unit:
Cs (0.0000, 0.0000, 0.2480) [6 per cell]
Sc (0.0000, 0.0000, 0.0000) [3 per cell]
In (0.0000, 0.0000, 0.5000) [3 per cell]
Br (0.0373, 0.4641, 0.7452) [18 per cell]



Record 3
This entry pairs a crystal structure of Cs2In2SnBr6 with its calculated X-ray diffraction stick pattern. Radiation: a wavelength of 1.5418 Å. Structure: a structure optimized by DFT (GGA-PBE).
Lines closer than 0.1° are merged.

Top 8 peaks for 2θ = 5–70°, in order of rising 2θ:
Position (°2θ)	d/Å	I (rel.)
18.77	4.728	37
20.66	4.299	92
20.94	4.243	39
22.56	3.942	100
28.92	3.087	43
30.04	2.974	50
33.79	2.652	41
38.12	2.361	41

Crystal structure
a b c (Å): 15.003 8.486 9.090
angles (deg): 90.00 118.91 90.00
Space group C2/m (No. 12)
Asymmetric unit:
Cs (0.220, 0.000, 0.162) [4 per cell]
In (0.066, 0.500, 0.202) [4 per cell]
Sn (0.000, 0.000, 0.500) [2 per cell]
Br (0.066, 0.243, 0.780) [8 per cell]
Br (0.210, 0.000, 0.547) [4 per cell]



Record 4
This entry pairs a crystal structure of CsSr2In2Br7 with its calculated X-ray diffraction stick pattern. Radiation: a wavelength of 1.5418 Å. Structure: a structure optimized by DFT (GGA-PBE).
Lines closer than 0.1° are merged.

Top 8 peaks for 2θ = 5–70°, in order of rising 2θ:
Position (°2θ)	d/Å	I (rel.)
17.48	5.073	38
21.16	4.200	36
27.64	3.227	74
28.35	3.148	77
28.49	3.133	87
40.06	2.251	100
40.63	2.221	57
49.85	1.829	48

Crystal structure
a b c (Å): 6.266 25.819 6.295
angles (deg): 90.00 90.00 90.00
Space group Imm2 (No. 44)
Asymmetric unit:
Cs (0.000, 0.000, 0.000) [2 per cell]
Sr (0.000, 0.385, 0.076) [4 per cell]
In (0.000, 0.252, 0.580) [4 per cell]
Br (0.000, 0.114, 0.584) [4 per cell]
Br (0.000, 0.268, 0.080) [4 per cell]
Br (0.000, 0.384, 0.580) [4 per cell]
Br (0.000, 0.500, 0.125) [2 per cell]



Record 5
This entry pairs a crystal structure of CsTl2InBr6 with its calculated X-ray diffraction stick pattern. Radiation: a wavelength of 1.5418 Å. Structure: a structure optimized by DFT (GGA-PBE).
Lines closer than 0.1° are merged.

Top 8 peaks for 2θ = 5–70°, in order of rising 2θ:
Position (°2θ)	d/Å	I (rel.)
14.90	5.945	50
20.73	4.285	79
21.53	4.127	60
24.92	3.573	57
30.06	2.972	42
33.19	2.699	100
37.28	2.412	55
37.75	2.383	60

Crystal structure
a b c (Å): 8.249 8.257 8.581
angles (deg): 118.76 90.00 119.96
Space group P1 (No. 1)
Asymmetric unit:
Cs (0.000, 0.000, 0.000) [1 per cell]
Tl (0.200, 0.399, 0.598) [1 per cell]
Tl (0.716, 0.432, 0.147) [1 per cell]
In (0.516, 0.031, 0.547) [1 per cell]
Br (0.179, 0.610, 0.338) [1 per cell]
Br (0.342, 0.209, 0.786) [1 per cell]
Br (0.431, 0.160, 0.338) [1 per cell]
Br (0.578, 0.921, 0.787) [1 per cell]
Br (0.730, 0.908, 0.339) [1 per cell]
Br (0.866, 0.444, 0.787) [1 per cell]



Record 6
This entry pairs a crystal structure of CsTlInBr4 with its calculated X-ray diffraction stick pattern. Radiation: a wavelength of 1.5418 Å. Structure: a structure optimized by DFT (GGA-PBE).
Lines closer than 0.1° are merged.

Top 8 peaks for 2θ = 5–70°, in order of rising 2θ:
Position (°2θ)	d/Å	I (rel.)
21.73	4.090	56
22.24	3.998	80
30.07	2.972	63
30.18	2.962	43
31.65	2.827	100
44.29	2.045	60
45.37	1.999	36
55.43	1.658	53

Crystal structure
a b c (Å): 5.654 5.654 17.770
angles (deg): 90.00 90.00 90.00
Space group I4mm (No. 107)
Asymmetric unit:
Cs (0.000, 0.000, 0.000) [2 per cell]
Tl (0.000, 0.000, 0.709) [2 per cell]
In (0.000, 0.000, 0.356) [2 per cell]
Br (0.000, 0.000, 0.197) [2 per cell]
Br (0.000, 0.000, 0.533) [2 per cell]
Br (0.000, 0.500, 0.359) [4 per cell]



Record 7
This entry pairs a crystal structure of Cs2TlIn2Br7 with its calculated X-ray diffraction stick pattern. Radiation: a wavelength of 1.5418 Å. Structure: a structure optimized by DFT (GGA-PBE).
Lines closer than 0.1° are merged.

Top 8 peaks for 2θ = 5–70°, in order of rising 2θ:
Position (°2θ)	d/Å	I (rel.)
5.98	14.778	40
21.65	4.106	46
22.03	4.035	52
28.60	3.122	69
30.24	2.956	36
31.36	2.853	100
44.12	2.053	51
44.94	2.017	39

Crystal structure
a b c (Å): 8.071 8.069 15.319
angles (deg): 90.00 105.27 90.00
Space group C2/m (No. 12)
Asymmetric unit:
Cs (0.179, 0.000, 0.361) [4 per cell]
Tl (0.000, 0.000, 0.000) [2 per cell]
In (0.098, 0.500, 0.197) [4 per cell]
Br (0.000, 0.500, 0.000) [2 per cell]
Br (0.157, 0.250, 0.812) [8 per cell]
Br (0.196, 0.500, 0.392) [4 per cell]



Record 8
This entry pairs a crystal structure of CsVInBr6 with its calculated X-ray diffraction stick pattern. Radiation: a wavelength of 1.5418 Å. Structure: a structure optimized by DFT (GGA-PBE).
Lines closer than 0.1° are merged.

Top 8 peaks for 2θ = 5–70°, in order of rising 2θ:
Position (°2θ)	d/Å	I (rel.)
10.79	8.200	47
18.18	4.880	93
27.68	3.223	80
33.64	2.664	100
40.83	2.210	28
44.61	2.031	18
44.78	2.024	37
51.65	1.770	25

Crystal structure
a b c (Å): 7.0109 7.0109 8.1997
angles (deg): 90.00 90.00 120.00
Space group P312 (No. 149)
Asymmetric unit:
Cs (0.0000, 0.0000, 0.0000) [1 per cell]
V (0.3333, 0.6667, 0.5000) [1 per cell]
In (0.6667, 0.3333, 0.5000) [1 per cell]
Br (0.0145, 0.3773, 0.6853) [6 per cell]



Record 9
This entry pairs a crystal structure of Cs2Zn2InBr6 with its calculated X-ray diffraction stick pattern. Radiation: a wavelength of 1.5418 Å. Structure: a structure optimized by DFT (GGA-PBE).
Lines closer than 0.1° are merged.

Top 8 peaks for 2θ = 5–70°, in order of rising 2θ:
Position (°2θ)	d/Å	I (rel.)
19.66	4.514	36
22.11	4.021	85
22.33	3.982	44
22.47	3.957	50
25.93	3.436	41
26.73	3.336	40
29.58	3.020	100
45.08	2.011	46

Crystal structure
a b c (Å): 13.925 8.044 9.289
angles (deg): 90.00 120.98 90.00
Space group C2/m (No. 12)
Asymmetric unit:
Cs (0.216, 0.000, 0.213) [4 per cell]
Zn (0.029, 0.500, 0.154) [4 per cell]
In (0.000, 0.000, 0.500) [2 per cell]
Br (0.054, 0.248, 0.805) [8 per cell]
Br (0.233, 0.500, 0.349) [4 per cell]



Record 10
This entry pairs a crystal structure of CsZnInBr4 with its calculated X-ray diffraction stick pattern. Radiation: a wavelength of 1.5418 Å. Structure: a structure optimized by DFT (GGA-PBE).
Lines closer than 0.1° are merged.

Top 8 peaks for 2θ = 5–70°, in order of rising 2θ:
Position (°2θ)	d/Å	I (rel.)
22.97	3.872	50
26.18	3.403	52
26.31	3.387	68
26.46	3.368	65
28.64	3.116	55
28.77	3.103	49
29.71	3.007	100
35.04	2.561	47

Crystal structure
a b c (Å): 7.278 7.744 10.192
angles (deg): 90.00 110.22 90.00
Space group P2_1/m (No. 11)
Asymmetric unit:
Cs (0.203, 0.250, 0.420) [2 per cell]
Zn (0.298, 0.750, 0.198) [2 per cell]
In (0.289, 0.250, 0.965) [2 per cell]
Br (0.087, 0.750, 0.340) [2 per cell]
Br (0.102, 0.750, 0.950) [2 per cell]
Br (0.489, 0.503, 0.746) [4 per cell]



Record 11
This entry pairs a crystal structure of CsIrBr6 with its calculated X-ray diffraction stick pattern. Radiation: a wavelength of 1.5418 Å. Structure: a structure optimized by DFT (GGA-PBE).
Lines closer than 0.1° are merged.

Top 8 peaks for 2θ = 5–70°, in order of rising 2θ:
Position (°2θ)	d/Å	I (rel.)
13.83	6.401	31
17.25	5.140	64
17.49	5.070	29
21.52	4.129	45
32.83	2.728	100
33.09	2.708	50
47.62	1.910	37
53.49	1.713	23

Crystal structure
a b c (Å): 8.591 10.140 6.743
angles (deg): 90.00 106.11 90.00
Space group C2/m (No. 12)
Asymmetric unit:
Cs (0.000, 0.000, 0.000) [2 per cell]
Ir (0.000, 0.500, 0.500) [2 per cell]
Br (0.100, 0.327, 0.766) [8 per cell]
Br (0.233, 0.000, 0.575) [4 per cell]



Record 12
This entry pairs a crystal structure of CsK4Br5 with its calculated X-ray diffraction stick pattern. Radiation: a wavelength of 1.5418 Å. Structure: a structure optimized by DFT (GGA-PBE).
Lines closer than 0.1° are merged.

Top 8 peaks for 2θ = 5–70°, in order of rising 2θ:
Position (°2θ)	d/Å	I (rel.)
25.90	3.440	100
26.09	3.416	45
36.96	2.432	36
37.09	2.424	69
45.79	1.981	37
60.15	1.538	17
60.24	1.536	16
66.68	1.403	23

Crystal structure
a b c (Å): 4.865 4.865 34.159
angles (deg): 90.00 90.00 90.00
Space group I4/mmm (No. 139)
Asymmetric unit:
Cs (0.000, 0.000, 0.000) [2 per cell]
K (0.000, 0.000, 0.202) [4 per cell]
K (0.000, 0.000, 0.396) [4 per cell]
Br (0.000, 0.000, 0.105) [4 per cell]
Br (0.000, 0.000, 0.299) [4 per cell]
Br (0.000, 0.000, 0.500) [2 per cell]



Record 13
This entry pairs a crystal structure of Cs2K4Br5 with its calculated X-ray diffraction stick pattern. Radiation: a wavelength of 1.5418 Å. Structure: a structure optimized by DFT (GGA-PBE).
Lines closer than 0.1° are merged.

Top 8 peaks for 2θ = 5–70°, in order of rising 2θ:
Position (°2θ)	d/Å	I (rel.)
22.12	4.018	53
23.78	3.742	100
25.09	3.549	27
25.80	3.453	45
35.21	2.549	84
35.36	2.539	80
55.88	1.645	27
63.24	1.470	38

Crystal structure
a b c (Å): 5.0976 5.0976 77.5863
angles (deg): 90.00 90.00 120.00
Space group R-3m (No. 166, hexagonal axes)
Asymmetric unit:
Cs (0.0000, 0.0000, 0.1385) [6 per cell]
K (0.0000, 0.0000, 0.3037) [6 per cell]
K (0.0000, 0.0000, 0.4210) [6 per cell]
Br (0.0000, 0.0000, 0.2250) [6 per cell]
Br (0.0000, 0.0000, 0.3808) [6 per cell]
Br (0.0000, 0.0000, 0.5000) [3 per cell]